# 1
# DyHo4Er2
Theoretical powder diffractogram, Cu Kα (λ = 1.5418 Å). Input: a cell relaxed with GGA-PBE.

Cell lengths 6.0374, 6.4904, 11.4161 Å; angles 90.00, 104.83, 90.00 degrees
Space group P2_1/m (No. 11)
Inequivalent atoms, fractional coordinates:
Dy 0.0230 0.2500 0.3555 x2
Ho 0.1559 0.2500 0.6563 x2
Ho 0.2869 0.7500 0.9295 x2
Ho 0.3502 0.5036 0.2112 x4
Er 0.1496 0.2500 0.9416 x2
Er 0.3965 0.7500 0.5033 x2

Top 10 peaks for 5 to 70 degrees two-theta, by angle:
(hkl), 2θ/deg, I/Imax
0 2 0, 27.49, 20.8
1 1 -3, 28.67, 23.7
2 0 -1, 29.59, 36.9
1 2 -1, 31.56, 33.9
1 0 3, 31.94, 100.0
1 0 -4, 32.14, 58.5
2 1 0, 33.65, 98.5
2 1 -2, 33.80, 29.2
2 3 0, 52.71, 18.3
1 4 -4, 66.71, 17.9

***

# 2
# Dy12Ho2Er5
Theoretical powder diffractogram, Cu Kα (λ = 1.5418 Å). Input: a cell relaxed with GGA-PBE.

Cell lengths 6.4422, 8.7828, 11.3409 Å; angles 109.51, 92.85, 98.08 degrees
Space group P-1 (No. 2)
Inequivalent atoms, fractional coordinates:
Dy 0.0257 0.2007 0.1363 x2
Dy 0.1675 0.8732 0.5756 x2
Dy 0.2050 0.1688 0.8580 x2
Dy 0.2766 0.5968 0.0410 x2
Dy 0.4445 0.6569 0.7688 x2
Dy 0.4698 0.2607 0.6301 x2
Ho 0.2352 0.4428 0.4596 x2
Er 0.0118 0.3895 0.7175 x2
Er 0.3041 0.0103 0.2998 x2
Er 0.5000 0.0000 0.0000 x1

Top 10 peaks for 5 to 70 degrees two-theta, by angle:
(hkl), 2θ/deg, I/Imax
2 -1 1, 29.43, 28.0
0 3 -2, 31.33, 39.8
0 1 -4, 31.60, 25.4
1 2 1, 31.71, 100.0
-1 1 3, 31.97, 99.2
1 -3 1, 32.11, 40.8
2 -1 2, 32.67, 70.3
2 1 -2, 32.85, 99.9
0 2 -4, 33.28, 34.3
0 3 -3, 33.92, 30.1

***

# 3
# Dy5HoEr7
Theoretical powder diffractogram, Cu Kα (λ = 1.5418 Å). Input: a cell relaxed with GGA-PBE.

Cell lengths 6.6253, 10.9806, 11.4244 Å; angles 90.00, 90.00, 90.00 degrees
Space group Imm2 (No. 44)
Inequivalent atoms, fractional coordinates:
Dy 0.0000 0.0000 0.0000 x2
Dy 0.2310 0.2734 0.9987 x8
Ho 0.0000 0.5000 0.1928 x2
Er 0.0000 0.0000 0.4996 x2
Er 0.0000 0.1698 0.2500 x4
Er 0.0000 0.1697 0.7486 x4
Er 0.0000 0.5000 0.4990 x2
Er 0.0000 0.5000 0.8057 x2

Top 10 peaks for 5 to 70 degrees two-theta, by angle:
(hkl), 2θ/deg, I/Imax
2 0 0, 26.94, 32.5
1 3 0, 27.85, 37.4
2 0 2, 31.21, 47.8
0 0 4, 31.32, 74.1
2 2 0, 31.57, 72.8
1 3 2, 32.03, 100.0
2 2 2, 35.34, 95.5
0 4 2, 36.31, 33.1
2 6 0, 57.54, 31.4
2 2 6, 58.37, 39.1

***

# 4
# Dy9Ho2Er
Theoretical powder diffractogram, Cu Kα (λ = 1.5418 Å). Input: a cell relaxed with GGA-PBE.

Cell lengths 4.9900, 4.9900, 14.9770 Å; angles 90.00, 90.00, 90.00 degrees
Space group P4/mmm (No. 123)
Inequivalent atoms, fractional coordinates:
Dy 0.0000 0.0000 0.0000 x1
Dy 0.0000 0.0000 0.3332 x2
Dy 0.0000 0.5000 0.1664 x4
Dy 0.0000 0.5000 0.5000 x2
Ho 0.5000 0.5000 0.3332 x2
Er 0.5000 0.5000 0.0000 x1

Top 5 peaks for 5 to 70 degrees two-theta, by angle:
(hkl), 2θ/deg, I/Imax
1 1 3, 31.04, 100.0
2 0 0, 35.99, 50.6
2 2 0, 51.81, 36.0
3 1 3, 61.64, 42.7
2 2 6, 64.70, 12.3

***

# 5
# Dy4Ho5Er2
Theoretical powder diffractogram, Cu Kα (λ = 1.5418 Å). Input: a cell relaxed with GGA-PBE.

Cell lengths 21.2933, 3.6175, 9.1302 Å; angles 90.00, 102.65, 90.00 degrees
Space group C2/m (No. 12)
Inequivalent atoms, fractional coordinates:
Dy 0.0271 0.0000 0.2012 x4
Dy 0.1716 0.5000 0.4171 x4
Ho 0.0000 0.5000 0.5000 x2
Ho 0.1181 0.0000 0.6976 x4
Ho 0.2492 0.0000 0.1701 x4
Er 0.1141 0.5000 0.0062 x4

Top 10 peaks for 5 to 70 degrees two-theta, by angle:
(hkl), 2θ/deg, I/Imax
4 0 2, 29.13, 14.8
6 0 1, 29.65, 38.2
3 1 1, 30.57, 16.2
4 0 -3, 31.25, 59.4
1 1 2, 32.77, 100.0
5 1 -1, 32.92, 99.1
0 2 0, 50.46, 18.6
3 1 -5, 56.49, 14.9
9 1 -4, 56.79, 15.2
4 2 -3, 60.56, 19.0

***

# 6
# DyHo3Er5
Theoretical powder diffractogram, Cu Kα (λ = 1.5418 Å). Input: a cell relaxed with GGA-PBE.

Cell lengths 16.1734, 8.5872, 10.8803 Å; angles 90.00, 131.15, 90.00 degrees
Space group C2/c (No. 15)
Inequivalent atoms, fractional coordinates:
Dy 0.0000 0.1779 0.2500 x4
Ho 0.0000 0.5000 0.0000 x4
Ho 0.2195 0.4698 0.4714 x8
Er 0.0000 0.2596 0.7500 x4
Er 0.0965 0.1206 0.6113 x8
Er 0.1796 0.2214 0.1631 x8

Top 10 peaks for 5 to 70 degrees two-theta, by angle:
(hkl), 2θ/deg, I/Imax
1 1 2, 29.11, 37.4
5 1 -2, 29.60, 26.2
0 2 2, 30.15, 82.4
4 2 -2, 30.47, 100.0
4 2 -1, 31.54, 33.6
1 3 0, 32.12, 50.1
5 1 -1, 32.39, 33.5
4 0 -4, 32.94, 90.8
2 0 2, 33.45, 28.8
4 2 -6, 56.90, 22.0

***

# 7
# Dy8HoEr3
Theoretical powder diffractogram, Cu Kα (λ = 1.5418 Å). Input: a cell relaxed with GGA-PBE.

Cell lengths 7.6249, 7.6249, 15.2489 Å; angles 90.00, 90.00, 90.00 degrees
Space group I4/mmm (No. 139)
Inequivalent atoms, fractional coordinates:
Dy 0.2503 0.2503 0.1251 x16
Ho 0.0000 0.0000 0.0000 x2
Er 0.0000 0.0000 0.5000 x2
Er 0.0000 0.5000 0.2500 x4

Top 10 peaks for 5 to 70 degrees two-theta, by angle:
(hkl), 2θ/deg, I/Imax
1 1 2, 20.17, 26.7
2 0 0, 23.33, 12.7
2 2 0, 33.23, 100.0
3 1 2, 39.19, 14.8
4 0 0, 47.71, 18.3
3 3 2, 52.30, 6.5
4 2 0, 53.77, 5.3
4 2 4, 59.38, 38.2
5 1 2, 63.39, 4.8
4 4 0, 69.77, 11.8

***

# 8
# Dy3Ho2Er9
Theoretical powder diffractogram, Cu Kα (λ = 1.5418 Å). Input: a cell relaxed with GGA-PBE.

Cell lengths 6.1729, 8.5831, 8.6987 Å; angles 80.13, 75.59, 87.55 degrees
Space group P1 (No. 1)
Inequivalent atoms, fractional coordinates:
Dy 0.0000 0.0000 0.0000 x1
Dy 0.1685 0.3310 0.1946 x1
Dy 0.4747 0.7480 0.5511 x1
Ho 0.6986 0.3279 0.9654 x1
Ho 0.8263 0.4075 0.5628 x1
Er 0.0312 0.7604 0.3644 x1
Er 0.1414 0.0633 0.5590 x1
Er 0.2578 0.3725 0.7671 x1
Er 0.3189 0.6776 0.9697 x1
Er 0.4440 0.9703 0.1674 x1
Er 0.5749 0.0350 0.7689 x1
Er 0.7009 0.5942 0.1983 x1
Er 0.7102 0.1265 0.3667 x1
Er 0.8896 0.7013 0.7797 x1

Top 10 peaks for 5 to 70 degrees two-theta, by angle:
(hkl), 2θ/deg, I/Imax
2 -1 0, 31.73, 69.4
0 3 1, 31.78, 25.1
1 1 3, 32.13, 100.0
1 -2 2, 33.66, 28.3
-1 2 2, 33.87, 24.6
2 2 1, 35.12, 37.9
1 4 3, 49.58, 14.0
2 -4 0, 53.06, 12.9
0 0 5, 55.27, 11.6
-1 5 3, 63.55, 13.4

***

# 9
# Dy4Ho5Er3
Theoretical powder diffractogram, Cu Kα (λ = 1.5418 Å). Input: a cell relaxed with GGA-PBE.

Cell lengths 6.0900, 7.0381, 8.6048 Å; angles 90.00, 89.92, 89.88 degrees
Space group P-1 (No. 2)
Inequivalent atoms, fractional coordinates:
Dy 0.1665 0.2507 0.3330 x2
Dy 0.3332 0.9997 0.6668 x2
Ho 0.0000 0.0000 0.0000 x1
Ho 0.3332 0.4997 0.6669 x2
Ho 0.5004 0.2504 0.0000 x2
Er 0.0000 0.5000 0.0000 x1
Er 0.1669 0.7498 0.3330 x2

Top 8 peaks for 5 to 70 degrees two-theta, by angle:
(hkl), 2θ/deg, I/Imax
1 2 1, 31.15, 100.0
2 0 2, 36.13, 50.6
3 2 0, 51.99, 24.0
3 -2 0, 52.07, 11.9
4 0 1, 61.85, 21.4
2 0 5, 61.93, 21.3
2 4 2, 64.86, 3.1
0 0 6, 65.01, 9.2

***

# 10
# DyHo10Er4
Theoretical powder diffractogram, Cu Kα (λ = 1.5418 Å). Input: a cell relaxed with GGA-PBE.

Cell lengths 12.0204, 12.0204, 7.5970 Å; angles 90.00, 90.00, 90.00 degrees
Space group I4/m (No. 87)
Inequivalent atoms, fractional coordinates:
Dy 0.0000 0.0000 0.0000 x2
Ho 0.0000 0.5000 0.2500 x4
Ho 0.0997 0.7995 0.2504 x16
Er 0.1003 0.2998 0.5000 x8

Top 10 peaks for 5 to 70 degrees two-theta, by angle:
(hkl), 2θ/deg, I/Imax
2 1 1, 20.24, 26.1
1 3 0, 23.41, 13.3
4 2 0, 33.34, 100.0
5 0 1, 39.32, 14.4
4 2 2, 41.14, 4.1
2 6 0, 47.87, 18.3
6 3 1, 52.48, 6.3
7 1 0, 53.95, 5.6
7 1 2, 59.59, 38.1
6 3 3, 63.61, 4.7

***

# 11
# Dy3Ho4Er3
Theoretical powder diffractogram, Cu Kα (λ = 1.5418 Å). Input: a cell relaxed with GGA-PBE.

Cell lengths 3.6610, 13.0483, 13.0568 Å; angles 90.00, 90.00, 90.00 degrees
Space group Amm2 (No. 38)
Inequivalent atoms, fractional coordinates:
Dy 0.0000 0.0000 0.0000 x2
Dy 0.0000 0.1720 0.6718 x4
Ho 0.5000 0.0000 0.5450 x2
Ho 0.5000 0.0000 0.7986 x2
Ho 0.5000 0.1265 0.1724 x4
Er 0.0000 0.0000 0.3439 x2
Er 0.5000 0.2492 0.4215 x4

Top 10 peaks for 5 to 70 degrees two-theta, by angle:
(hkl), 2θ/deg, I/Imax
0 4 0, 27.33, 12.7
0 4 2, 30.63, 62.8
1 2 2, 31.18, 29.5
1 1 3, 32.70, 100.0
0 1 5, 35.05, 11.8
1 5 3, 47.62, 11.9
2 0 0, 49.81, 11.6
1 4 6, 56.73, 16.4
2 4 2, 59.59, 35.7
1 0 8, 62.33, 11.5

***

# 12
# Dy3Ho7Er2
Theoretical powder diffractogram, Cu Kα (λ = 1.5418 Å). Input: a cell relaxed with GGA-PBE.

Cell lengths 6.1257, 5.4878, 11.8704 Å; angles 90.00, 92.55, 90.00 degrees
Space group P2/m (No. 10)
Inequivalent atoms, fractional coordinates:
Dy 0.0000 0.0000 0.0000 x1
Dy 0.4511 0.5000 0.3349 x2
Ho 0.0607 0.5000 0.8204 x2
Ho 0.2651 0.0000 0.5498 x2
Ho 0.4099 0.0000 0.8345 x2
Ho 0.5000 0.5000 0.0000 x1
Er 0.1178 0.0000 0.2804 x2

Top 10 peaks for 5 to 70 degrees two-theta, by angle:
(hkl), 2θ/deg, I/Imax
2 0 -1, 29.83, 14.2
1 1 -3, 31.01, 24.0
1 1 3, 31.97, 100.0
0 2 0, 32.63, 53.7
1 0 -4, 32.98, 20.5
2 1 0, 33.53, 13.4
2 1 -1, 34.11, 48.3
1 1 -4, 36.93, 17.9
1 2 -4, 47.08, 15.3
1 3 3, 57.83, 22.0